No. 1
This entry pairs a crystal structure of Ca3Tl6Pd5 with its calculated powder X-ray diffraction pattern. Radiation: Cu Ka. Structure: DFT lattice parameters and positions (GGA-PBE).
Neutral-atom scattering factors, no anomalous dispersion.

Largest 8 diffraction maxima, by intensity, 2θ = 10–90°:
2θ = 32.61°, intensity 100.0; 2θ = 38.07°, intensity 91.3; 2θ = 17.08°, intensity 89.7; 2θ = 40.30°, intensity 85.7; 2θ = 28.90°, intensity 67.4; 2θ = 35.18°, intensity 63.0; 2θ = 20.81°, intensity 60.0; 2θ = 41.81°, intensity 55.9

a b c (Å): 4.476 14.052 10.383
angles (deg): 90.00 90.00 90.00
Element x y z (fractional)
Ca  0.250  0.046  0.249
Ca  0.250  0.454  0.249
Ca  0.250  0.750  0.216
Ca  0.750  0.250  0.784
Ca  0.750  0.546  0.751
Ca  0.750  0.954  0.751
Tl  0.250  0.071  0.918
Tl  0.250  0.250  0.115
Tl  0.250  0.250  0.474
Tl  0.250  0.429  0.918
Tl  0.250  0.588  0.518
Tl  0.250  0.912  0.518
Tl  0.750  0.088  0.482
Tl  0.750  0.412  0.482
Tl  0.750  0.571  0.082
Tl  0.750  0.750  0.526
Tl  0.750  0.750  0.885
Tl  0.750  0.929  0.082
Pd  0.250  0.098  0.655
Pd  0.250  0.402  0.655
Pd  0.250  0.637  0.937
Pd  0.250  0.750  0.704
Pd  0.250  0.863  0.937
Pd  0.750  0.137  0.063
Pd  0.750  0.250  0.296
Pd  0.750  0.363  0.063
Pd  0.750  0.598  0.345
Pd  0.750  0.902  0.345

=====

No. 2
This entry pairs a crystal structure of LiEr3Ir2 with its calculated powder X-ray diffraction pattern. Radiation: Cu Ka. Structure: DFT lattice parameters and positions (GGA-PBE).
Neutral-atom scattering factors, no anomalous dispersion.

Largest 8 diffraction maxima, by intensity, 2θ = 10–90°:
2θ = 36.93°, intensity 100.0; 2θ = 37.22°, intensity 98.9; 2θ = 66.92°, intensity 35.7; 2θ = 53.44°, intensity 35.0; 2θ = 22.51°, intensity 20.6; 2θ = 66.35°, intensity 18.3; 2θ = 67.11°, intensity 17.9; 2θ = 78.61°, intensity 11.4

a b c (Å): 4.831 4.831 11.970
angles (deg): 90.00 90.00 120.00
Element x y z (fractional)
Li  0.333  0.667  0.170
Li  0.667  0.333  0.830
Er  0.000  0.000  0.257
Er  0.000  0.000  0.743
Er  0.333  0.667  0.422
Er  0.333  0.667  0.917
Er  0.667  0.333  0.083
Er  0.667  0.333  0.578
Ir  0.000  0.000  0.000
Ir  0.000  0.000  0.500
Ir  0.333  0.667  0.672
Ir  0.667  0.333  0.328

=====

No. 3
This entry pairs a crystal structure of Pu2GaH2 with its calculated powder X-ray diffraction pattern. Radiation: Cu Ka. Structure: DFT lattice parameters and positions (GGA-PBE).
Neutral-atom scattering factors, no anomalous dispersion.

Largest 8 diffraction maxima, by intensity, 2θ = 10–90°:
2θ = 33.64°, intensity 100.0; 2θ = 42.15°, intensity 75.6; 2θ = 16.00°, intensity 74.4; 2θ = 28.47°, intensity 71.8; 2θ = 25.70°, intensity 67.6; 2θ = 51.84°, intensity 40.1; 2θ = 31.87°, intensity 32.4; 2θ = 44.92°, intensity 30.8

a b c (Å): 6.429 6.429 6.998
angles (deg): 115.28 115.28 31.83
Element x y z (fractional)
Pu  0.067  0.571  0.802
Pu  0.429  0.933  0.698
Pu  0.571  0.067  0.302
Pu  0.933  0.429  0.198
Ga  0.253  0.747  0.250
Ga  0.747  0.253  0.750
H  0.092  0.587  0.505
H  0.413  0.908  0.995
H  0.587  0.092  0.005
H  0.908  0.413  0.495